No. 1
Theoretical powder XRD pattern of NaV2O4 for λ = 1.5418 Å (Cu Kα), from a structure optimized by DFT (PBE+U).
No peak broadening, texture or thermal motion is included.

Top 12 peaks for 2θ = 10–90°, by intensity:
two_theta, I/Imax
35.60, 100
33.52, 75
19.20, 51
33.34, 45
49.60, 38
19.10, 32
49.77, 30
40.38, 23
61.21, 22
61.76, 21
61.32, 19
42.87, 18

Cell and atoms:
```
NaV2O4
1.0
3.004 0.000 0.000
-0.007 9.246 0.000
-0.004 -0.015 10.751
Na V O
4 8 16
direct
0.000 0.000 0.000
0.000 0.498 0.195
0.500 0.009 0.500
0.500 0.510 0.695
0.000 0.321 0.959
0.000 0.336 0.451
0.000 0.831 0.741
0.001 0.819 0.238
0.497 0.189 0.734
0.500 0.177 0.242
0.500 0.674 0.951
0.500 0.684 0.458
0.000 0.147 0.371
0.000 0.236 0.127
0.000 0.537 0.496
0.000 0.636 0.832
0.000 0.732 0.064
0.000 0.833 0.410
0.003 0.050 0.695
0.500 0.180 0.916
0.500 0.278 0.561
0.500 0.372 0.331
0.500 0.470 0.995
0.500 0.680 0.269
0.500 0.773 0.625
0.500 0.861 0.872
0.500 0.954 0.195
0.998 0.329 0.771
```

***

No. 2
Theoretical powder XRD pattern of NaV6O11 for λ = 1.5418 Å (Cu Kα), from a structure optimized by DFT (PBE+U).
No peak broadening, texture or thermal motion is included.

Top 12 peaks for 2θ = 10–90°, by intensity:
two_theta, I/Imax
55.03, 100
32.21, 87
33.17, 63
37.93, 53
62.86, 49
13.33, 45
40.93, 42
32.09, 42
54.72, 38
55.39, 36
33.51, 31
22.03, 28

Cell and atoms:
```
NaV6O11
1.0
2.921 -5.142 0.000
2.921 5.142 0.000
0.000 0.000 13.280
Na V O
2 12 22
direct
0.164 0.836 0.500
0.836 0.164 0.000
0.001 0.501 0.234
0.001 0.999 0.235
0.169 0.831 0.982
0.498 0.502 0.881
0.499 0.501 0.089
0.499 0.999 0.234
0.501 0.001 0.734
0.501 0.499 0.589
0.502 0.498 0.381
0.831 0.169 0.482
0.999 0.001 0.735
0.999 0.499 0.734
0.152 0.333 0.156
0.155 0.337 0.812
0.171 0.829 0.822
0.172 0.828 0.146
0.198 0.343 0.484
0.323 0.677 0.656
0.326 0.674 0.310
0.333 0.152 0.656
0.337 0.155 0.312
0.340 0.660 0.985
0.343 0.198 0.984
0.657 0.802 0.484
0.660 0.340 0.485
0.663 0.845 0.812
0.667 0.848 0.156
0.674 0.326 0.810
0.677 0.323 0.156
0.802 0.657 0.984
0.828 0.172 0.646
0.829 0.171 0.322
0.845 0.663 0.312
0.848 0.667 0.656
```